[1]
Diffraction record for CoRu. The X-ray diffraction stick pattern is theoretical, not measured: it uses the PBE geometry in the Materials Project and Cu Ka.
Kinematic intensities with the Lorentz-polarization factor, no thermal factor.

Structure:
Lattice parameters (Å, degrees): 2.6508 2.6508 4.0963 90.00 90.00 120.00
Space group P-6m2 (No. 187)
Symmetry-distinct sites (fractional):
Co: 0.0000 0.0000 0.0000
Ru: 0.6667 0.3333 0.5000

Largest 6 diffraction maxima, in order of falling intensity, 2θ from 10° to 90°:
| d/Å | 2θ (°) | I_rel | (hkl) |
| --- | --- | --- | --- |
| 2.003 | 45.3 | 100 | 1 0 1 |
| 2.296 | 39.2 | 29 | 1 0 0 |
| 2.048 | 44.2 | 23 | 0 0 2 |
| 1.113 | 87.7 | 18 | 1 1 2 |
| 1.174 | 82.1 | 16 | 1 0 3 |
| 1.528 | 60.6 | 16 | 1 0 2 |

***

[2]
Diffraction record for I2O3F6. The X-ray diffraction stick pattern is theoretical, not measured: it uses the PBE geometry in the Materials Project and Cu Ka.
Kinematic intensities with the Lorentz-polarization factor, no thermal factor.

Structure:
Lattice parameters (Å, degrees): 10.0846 8.7461 9.5847 90.00 116.44 90.00
Space group P2_1/c (No. 14)
Symmetry-distinct sites (fractional):
I: 0.0711 0.2264 0.4212
I: 0.3144 0.5983 0.1648
O: 0.0601 0.2227 0.5991
O: 0.1567 0.6185 0.2095
O: 0.2256 0.0150 0.4871
F: 0.0314 0.5844 0.6516
F: 0.2484 0.1563 0.9960
F: 0.2786 0.7163 0.5556
F: 0.3878 0.0714 0.7966
F: 0.4293 0.7155 0.3419
F: 0.4919 0.5917 0.1462

Largest 6 diffraction maxima, in order of falling intensity, 2θ from 10° to 90°:
| d/Å | 2θ (°) | I_rel | (hkl) |
| --- | --- | --- | --- |
| 3.852 | 23.1 | 100 | 0 1 2 |
| 4.012 | 22.2 | 92 | 2 1 0 |
| 4.201 | 21.1 | 78 | 1 1 -2 |
| 4.790 | 18.5 | 78 | 1 0 -2 |
| 4.359 | 20.4 | 73 | 2 1 -1 |
| 6.039 | 14.7 | 65 | 1 1 -1 |

***

[3]
Diffraction record for CeSO6. The X-ray diffraction stick pattern is theoretical, not measured: it uses the PBE geometry in the Materials Project and Cu Ka.
Kinematic intensities with the Lorentz-polarization factor, no thermal factor.

Structure:
Lattice parameters (Å, degrees): 4.3245 8.7506 11.8963 90.00 90.00 90.00
Space group P2_12_12_1 (No. 19)
Symmetry-distinct sites (fractional):
Ce: 0.0957 0.1177 0.0737
S: 0.0999 0.5483 0.7216
O: 0.0590 0.3219 0.4757
O: 0.0634 0.0108 0.8862
O: 0.0946 0.3306 0.9720
O: 0.1304 0.0638 0.6864
O: 0.1828 0.5756 0.2493
O: 0.2361 0.3038 0.2099

Largest 6 diffraction maxima, in order of falling intensity, 2θ from 10° to 90°:
| d/Å | 2θ (°) | I_rel | (hkl) |
| --- | --- | --- | --- |
| 7.049 | 12.6 | 100 | 0 1 1 |
| 3.686 | 24.1 | 52 | 1 1 1 |
| 2.938 | 30.4 | 36 | 0 2 3 |
| 3.076 | 29.0 | 26 | 1 2 0 |
| 3.248 | 27.5 | 26 | 1 1 2 |
| 4.919 | 18.0 | 25 | 0 1 2 |

***

[4]
Diffraction record for Hg3RhF6. The X-ray diffraction stick pattern is theoretical, not measured: it uses the PBE geometry in the Materials Project and Cu Ka.
Kinematic intensities with the Lorentz-polarization factor, no thermal factor.

Structure:
Lattice parameters (Å, degrees): 5.4902 8.3448 13.0437 100.04 93.21 103.02
Space group P-1 (No. 2)
Symmetry-distinct sites (fractional):
Hg: 0.0000 0.0000 0.0000
Hg: 0.0000 0.5000 0.5000
Hg: 0.5000 0.0000 0.0000
Rh: 0.0000 0.5000 0.0000
F: 0.0586 0.5433 0.6530
F: 0.0733 0.2989 0.9274
F: 0.2915 0.6343 0.9591

Largest 6 diffraction maxima, in order of falling intensity, 2θ from 10° to 90°:
| d/Å | 2θ (°) | I_rel | (hkl) |
| --- | --- | --- | --- |
| 6.390 | 13.9 | 100 | 0 0 2 |
| 7.441 | 11.9 | 53 | 0 1 -1 |
| 6.250 | 14.2 | 37 | 0 1 1 |
| 3.989 | 22.3 | 30 | 0 2 0 |
| 3.720 | 23.9 | 24 | 0 2 -2 |
| 3.195 | 27.9 | 17 | 0 0 4 |